No. 1
Structure and theoretical powder X-ray diffraction pattern of La6PmSmHo2 (a cell relaxed with GGA-PBE; a wavelength of 1.5418 Å).
Kinematic intensities with the Lorentz-polarization factor, no thermal factor.

Structural model:
```
data_La6PmSmHo2
_chemical_formula_sum 'La12 Pm2 Sm2 Ho4'
_cell_length_a 11.369
_cell_length_b 7.223
_cell_length_c 8.970
_cell_angle_alpha 90.00
_cell_angle_beta 103.22
_cell_angle_gamma 90.00
_symmetry_space_group_name_H-M 'C 1 2/m 1'
_symmetry_Int_Tables_number 12
loop_
_symmetry_equiv_pos_as_xyz
'x,y,z'
'-x,-y,-z'
'-x,y,-z'
'x,-y,z'
'x+1/2,y+1/2,z'
'-x+1/2,-y+1/2,-z'
'-x+1/2,y+1/2,-z'
'x+1/2,-y+1/2,z'
loop_
_atom_site_label
_atom_site_fract_x
_atom_site_fract_y
_atom_site_fract_z
_atom_site_occupancy
La1 0.139 0.000 0.438 1
La2 0.179 0.279 0.803 1
Pm1 0.000 0.000 0.000 1
Sm1 0.000 0.500 0.500 1
Ho1 0.091 0.500 0.161 1
```

Peak list (10 most intense, 10 to 90 degrees two-theta, in order of rising 2θ)
d/Å	I/Imax	(hkl)
3.345	52	1 1 2
3.025	58	2 2 0
2.975	100	2 2 -1
2.927	47	3 1 -2
2.911	42	0 0 3
2.887	68	3 1 1
2.783	53	0 2 2
2.762	44	1 1 -3
2.624	33	4 0 -2
1.653	32	6 2 -2



No. 2
Structure and theoretical powder X-ray diffraction pattern of La2Pm4Sm2Ho (a cell relaxed with GGA-PBE; a wavelength of 1.5418 Å).
Kinematic intensities with the Lorentz-polarization factor, no thermal factor.

Structural model:
```
data_La2Pm4Sm2Ho
_chemical_formula_sum 'La4 Pm8 Sm4 Ho2'
_cell_length_a 19.111
_cell_length_b 3.690
_cell_length_c 9.790
_cell_angle_alpha 90.00
_cell_angle_beta 115.61
_cell_angle_gamma 90.00
_symmetry_space_group_name_H-M 'C 1 2/m 1'
_symmetry_Int_Tables_number 12
loop_
_symmetry_equiv_pos_as_xyz
'x,y,z'
'-x,-y,-z'
'-x,y,-z'
'x,-y,z'
'x+1/2,y+1/2,z'
'-x+1/2,-y+1/2,-z'
'-x+1/2,y+1/2,-z'
'x+1/2,-y+1/2,z'
loop_
_atom_site_label
_atom_site_fract_x
_atom_site_fract_y
_atom_site_fract_z
_atom_site_occupancy
La1 0.165 0.000 0.499 1
Pm1 0.019 0.000 0.832 1
Pm2 0.185 0.500 0.835 1
Sm1 0.147 0.500 0.166 1
Ho1 0.000 0.500 0.500 1
```

Peak list (10 most intense, 10 to 90 degrees two-theta, in order of rising 2θ)
d/Å	I/Imax	(hkl)
3.167	36	6 0 -1
3.102	16	6 0 -2
2.943	50	0 0 3
2.874	100	3 1 -2
2.733	88	3 1 1
1.845	13	0 2 0
1.840	26	9 1 -2
1.717	22	3 1 -5
1.563	15	0 2 3
1.560	30	9 1 1



No. 3
Structure and theoretical powder X-ray diffraction pattern of LaPm2Sm4Ho2 (a cell relaxed with GGA-PBE; a wavelength of 1.5418 Å).
Kinematic intensities with the Lorentz-polarization factor, no thermal factor.

Structural model:
```
data_LaPm2Sm4Ho2
_chemical_formula_sum 'La1 Pm2 Sm4 Ho2'
_cell_length_a 6.107
_cell_length_b 6.729
_cell_length_c 8.823
_cell_angle_alpha 79.87
_cell_angle_beta 70.01
_cell_angle_gamma 64.35
_symmetry_space_group_name_H-M 'P -1'
_symmetry_Int_Tables_number 2
loop_
_symmetry_equiv_pos_as_xyz
'x,y,z'
'-x,-y,-z'
loop_
_atom_site_label
_atom_site_fract_x
_atom_site_fract_y
_atom_site_fract_z
_atom_site_occupancy
La1 0.000 0.000 0.000 1
Pm1 0.265 0.676 0.652 1
Sm1 0.268 0.416 0.121 1
Sm2 0.379 0.865 0.244 1
Ho1 0.186 0.230 0.552 1
```

Peak list (10 most intense, 10 to 90 degrees two-theta, in order of rising 2θ)
d/Å	I/Imax	(hkl)
3.052	38	2 1 1
2.877	60	0 2 1
2.862	100	1 0 -2
2.840	51	1 1 3
2.823	50	1 2 -1
2.752	14	2 0 1
2.701	15	2 2 1
2.118	13	2 -1 0
1.941	16	0 1 -4
1.642	17	1 4 0



No. 4
Structure and theoretical powder X-ray diffraction pattern of La6PmSm2Ho (a cell relaxed with GGA-PBE; a wavelength of 1.5418 Å).
Kinematic intensities with the Lorentz-polarization factor, no thermal factor.

Structural model:
```
data_La6PmSm2Ho
_chemical_formula_sum 'La12 Pm2 Sm4 Ho2'
_cell_length_a 11.527
_cell_length_b 6.999
_cell_length_c 9.287
_cell_angle_alpha 90.00
_cell_angle_beta 107.43
_cell_angle_gamma 90.00
_symmetry_space_group_name_H-M 'C 1 2/m 1'
_symmetry_Int_Tables_number 12
loop_
_symmetry_equiv_pos_as_xyz
'x,y,z'
'-x,-y,-z'
'-x,y,-z'
'x,-y,z'
'x+1/2,y+1/2,z'
'-x+1/2,-y+1/2,-z'
'-x+1/2,y+1/2,-z'
'x+1/2,-y+1/2,z'
loop_
_atom_site_label
_atom_site_fract_x
_atom_site_fract_y
_atom_site_fract_z
_atom_site_occupancy
La1 0.129 0.000 0.422 1
La2 0.197 0.268 0.806 1
Pm1 0.000 0.500 0.500 1
Sm1 0.073 0.500 0.170 1
Ho1 0.000 0.000 0.000 1
```

Peak list (10 most intense, 10 to 90 degrees two-theta, in order of rising 2θ)
d/Å	I/Imax	(hkl)
3.298	19	1 1 2
3.033	32	2 0 2
2.950	100	2 2 -1
2.882	24	4 0 -1
2.830	26	1 1 -3
2.817	22	3 1 1
2.746	22	0 2 2
1.749	12	0 4 0
1.675	16	6 2 -2
1.518	12	4 0 4



No. 5
Structure and theoretical powder X-ray diffraction pattern of La2TbPm5Ho (a cell relaxed with GGA-PBE; a wavelength of 1.5418 Å).
Kinematic intensities with the Lorentz-polarization factor, no thermal factor.

Structural model:
```
data_La2TbPm5Ho
_chemical_formula_sum 'La8 Tb4 Pm20 Ho4'
_cell_length_a 5.733
_cell_length_b 20.282
_cell_length_c 10.828
_cell_angle_alpha 90.00
_cell_angle_beta 90.00
_cell_angle_gamma 90.00
_symmetry_space_group_name_H-M 'C m c 21'
_symmetry_Int_Tables_number 36
loop_
_symmetry_equiv_pos_as_xyz
'x,y,z'
'-x,-y,z+1/2'
'-x,y,z'
'x,-y,z+1/2'
'x+1/2,y+1/2,z'
'-x+1/2,-y+1/2,z+1/2'
'-x+1/2,y+1/2,z'
'x+1/2,-y+1/2,z+1/2'
loop_
_atom_site_label
_atom_site_fract_x
_atom_site_fract_y
_atom_site_fract_z
_atom_site_occupancy
La1 0.000 0.114 0.000 1
La2 0.000 0.117 0.584 1
Tb1 0.000 0.409 0.729 1
Pm1 0.000 0.016 0.287 1
Pm2 0.000 0.279 0.578 1
Pm3 0.000 0.296 0.970 1
Pm4 0.000 0.386 0.288 1
Pm5 0.000 0.482 0.008 1
Ho1 0.000 0.201 0.276 1
```

Peak list (10 most intense, 10 to 90 degrees two-theta, in order of rising 2θ)
d/Å	I/Imax	(hkl)
3.227	16	0 6 1
3.020	37	1 1 3
2.867	41	2 0 0
2.825	100	1 5 2
2.707	13	0 0 4
2.143	11	2 6 1
1.823	11	0 6 5
1.647	21	3 5 2
1.578	13	1 11 3
1.539	12	2 6 5



No. 6
Structure and theoretical powder X-ray diffraction pattern of La2TbPmHo5 (a cell relaxed with GGA-PBE; a wavelength of 1.5418 Å).
Kinematic intensities with the Lorentz-polarization factor, no thermal factor.

Structural model:
```
data_La2TbPmHo5
_chemical_formula_sum 'La8 Tb4 Pm4 Ho20'
_cell_length_a 8.672
_cell_length_b 8.672
_cell_length_c 15.779
_cell_angle_alpha 90.00
_cell_angle_beta 90.00
_cell_angle_gamma 90.00
_symmetry_space_group_name_H-M 'I 4/m c m'
_symmetry_Int_Tables_number 140
_symmetry_space_group_name_Hall '-I 4 2c'
loop_
_atom_site_label
_atom_site_fract_x
_atom_site_fract_y
_atom_site_fract_z
_atom_site_occupancy
La1 0.118 0.382 0.000 1
Tb1 0.000 0.500 0.250 1
Pm1 0.000 0.000 0.250 1
Ho1 0.000 0.000 0.000 1
Ho2 0.215 0.285 0.359 1
```

Peak list (10 most intense, 10 to 90 degrees two-theta, in order of rising 2θ)
d/Å	I/Imax	(hkl)
3.121	40	2 1 3
3.066	54	2 2 0
2.918	100	2 0 4
2.590	10	3 1 2
2.378	13	3 2 1
2.249	13	2 0 6
1.972	11	0 0 8
1.740	26	4 2 4
1.659	12	2 2 8
1.646	12	3 2 7



No. 7
Structure and theoretical powder X-ray diffraction pattern of LaPmHo2Th (a cell relaxed with GGA-PBE; a wavelength of 1.5418 Å).
Kinematic intensities with the Lorentz-polarization factor, no thermal factor.

Structural model:
```
data_LaPmHo2Th
_chemical_formula_sum 'La1 Pm1 Ho2 Th1'
_cell_length_a 3.538
_cell_length_b 5.700
_cell_length_c 8.761
_cell_angle_alpha 90.00
_cell_angle_beta 90.00
_cell_angle_gamma 90.00
_symmetry_space_group_name_H-M 'P m m m'
_symmetry_Int_Tables_number 47
loop_
_symmetry_equiv_pos_as_xyz
'x,y,z'
'-x,-y,-z'
'-x,-y,z'
'x,y,-z'
'x,-y,-z'
'-x,y,z'
'-x,y,-z'
'x,-y,z'
loop_
_atom_site_label
_atom_site_fract_x
_atom_site_fract_y
_atom_site_fract_z
_atom_site_occupancy
La1 0.000 0.000 0.000 1
Pm1 0.500 0.000 0.500 1
Ho1 0.000 0.500 0.320 1
Th1 0.500 0.500 0.000 1
```

Peak list (10 most intense, 10 to 90 degrees two-theta, in order of rising 2θ)
d/Å	I/Imax	(hkl)
5.700	16	0 1 0
2.920	13	0 0 3
2.845	100	0 2 0
2.752	15	1 0 2
2.599	20	0 1 3
2.478	20	1 1 2
1.980	12	1 2 2
1.768	17	2 0 0
1.644	14	1 3 1
1.514	19	1 1 5



No. 8
Structure and theoretical powder X-ray diffraction pattern of La3PmHo6Th2 (a cell relaxed with GGA-PBE; a wavelength of 1.5418 Å).
Kinematic intensities with the Lorentz-polarization factor, no thermal factor.

Structural model:
```
data_La3PmHo6Th2
_chemical_formula_sum 'La6 Pm2 Ho12 Th4'
_cell_length_a 6.253
_cell_length_b 10.827
_cell_length_c 11.796
_cell_angle_alpha 90.00
_cell_angle_beta 100.21
_cell_angle_gamma 90.00
_symmetry_space_group_name_H-M 'C 1 2/m 1'
_symmetry_Int_Tables_number 12
loop_
_symmetry_equiv_pos_as_xyz
'x,y,z'
'-x,-y,-z'
'-x,y,-z'
'x,-y,z'
'x+1/2,y+1/2,z'
'-x+1/2,-y+1/2,-z'
'-x+1/2,y+1/2,-z'
'x+1/2,-y+1/2,z'
loop_
_atom_site_label
_atom_site_fract_x
_atom_site_fract_y
_atom_site_fract_z
_atom_site_occupancy
La1 0.000 0.000 0.000 1
La2 0.000 0.334 0.000 1
Pm1 0.000 0.500 0.500 1
Ho1 0.243 0.000 0.744 1
Ho2 0.250 0.169 0.256 1
Th1 0.000 0.167 0.500 1
```

Peak list (10 most intense, 10 to 90 degrees two-theta, in order of rising 2θ)
d/Å	I/Imax	(hkl)
2.942	100	1 3 1
2.902	32	0 0 4
2.539	67	2 0 2
1.805	24	0 6 0
1.786	23	1 3 5
1.538	15	4 0 0
1.533	28	3 3 3
1.521	14	2 0 6
1.471	12	2 6 2
1.171	12	4 6 0



No. 9
Structure and theoretical powder X-ray diffraction pattern of La2PmHo2Tm (a cell relaxed with GGA-PBE; a wavelength of 1.5418 Å).
Kinematic intensities with the Lorentz-polarization factor, no thermal factor.

Structural model:
```
data_La2PmHo2Tm
_chemical_formula_sum 'La4 Pm2 Ho4 Tm2'
_cell_length_a 7.065
_cell_length_b 5.708
_cell_length_c 9.953
_cell_angle_alpha 90.00
_cell_angle_beta 90.00
_cell_angle_gamma 90.00
_symmetry_space_group_name_H-M 'P m m a'
_symmetry_Int_Tables_number 51
loop_
_symmetry_equiv_pos_as_xyz
'x,y,z'
'-x,-y,-z'
'-x+1/2,-y,z'
'x+1/2,y,-z'
'x+1/2,-y,-z'
'-x+1/2,y,z'
'-x,y,-z'
'x,-y,z'
loop_
_atom_site_label
_atom_site_fract_x
_atom_site_fract_y
_atom_site_fract_z
_atom_site_occupancy
La1 0.000 0.000 0.000 1
La2 0.250 0.500 0.170 1
Pm1 0.000 0.500 0.500 1
Ho1 0.250 0.000 0.335 1
Ho2 0.250 0.500 0.832 1
Tm1 0.250 0.000 0.662 1
```

Peak list (10 most intense, 10 to 90 degrees two-theta, in order of rising 2θ)
d/Å	I/Imax	(hkl)
2.877	100	2 1 1
2.868	77	0 1 3
2.854	38	0 2 0
2.227	11	2 1 3
2.034	13	2 0 4
2.027	24	2 2 2
1.659	20	0 0 6
1.657	13	2 2 4
1.651	28	0 3 3
1.503	33	4 2 0



No. 10
Structure and theoretical powder X-ray diffraction pattern of LaPmHo2Tm (a cell relaxed with GGA-PBE; a wavelength of 1.5418 Å).
Kinematic intensities with the Lorentz-polarization factor, no thermal factor.

Structural model:
```
data_LaPmHo2Tm
_chemical_formula_sum 'La4 Pm4 Ho8 Tm4'
_cell_length_a 8.439
_cell_length_b 11.515
_cell_length_c 7.217
_cell_angle_alpha 90.00
_cell_angle_beta 90.00
_cell_angle_gamma 90.00
_symmetry_space_group_name_H-M 'C m c m'
_symmetry_Int_Tables_number 63
_symmetry_space_group_name_Hall '-C 2c 2'
loop_
_atom_site_label
_atom_site_fract_x
_atom_site_fract_y
_atom_site_fract_z
_atom_site_occupancy
La1 0.000 0.234 0.250 1
Pm1 0.000 0.499 0.250 1
Ho1 0.188 0.000 0.000 1
Tm1 0.000 0.217 0.750 1
```

Peak list (10 most intense, 10 to 90 degrees two-theta, in order of rising 2θ)
d/Å	I/Imax	(hkl)
3.403	52	2 2 0
3.188	32	1 1 2
3.058	63	0 2 2
2.879	62	0 4 0
2.742	100	2 0 2
2.733	34	3 1 0
2.510	56	1 3 2
2.269	43	3 3 0
1.986	65	2 4 2
1.420	34	3 7 0



No. 11
Structure and theoretical powder X-ray diffraction pattern of La2Pm2Y4Ho (a cell relaxed with GGA-PBE; a wavelength of 1.5418 Å).
Kinematic intensities with the Lorentz-polarization factor, no thermal factor.

Structural model:
```
data_La2Pm2Y4Ho
_chemical_formula_sum 'La4 Pm4 Y8 Ho2'
_cell_length_a 18.948
_cell_length_b 3.658
_cell_length_c 9.708
_cell_angle_alpha 90.00
_cell_angle_beta 115.70
_cell_angle_gamma 90.00
_symmetry_space_group_name_H-M 'C 1 2/m 1'
_symmetry_Int_Tables_number 12
loop_
_symmetry_equiv_pos_as_xyz
'x,y,z'
'-x,-y,-z'
'-x,y,-z'
'x,-y,z'
'x+1/2,y+1/2,z'
'-x+1/2,-y+1/2,-z'
'-x+1/2,y+1/2,-z'
'x+1/2,-y+1/2,z'
loop_
_atom_site_label
_atom_site_fract_x
_atom_site_fract_y
_atom_site_fract_z
_atom_site_occupancy
La1 0.165 0.000 0.499 1
Pm1 0.147 0.500 0.164 1
Y1 0.020 0.000 0.833 1
Y2 0.185 0.500 0.836 1
Ho1 0.000 0.500 0.500 1
```

Peak list (10 most intense, 10 to 90 degrees two-theta, in order of rising 2θ)
d/Å	I/Imax	(hkl)
3.140	46	6 0 -1
2.916	49	0 0 3
2.849	100	3 1 -2
2.709	90	3 1 1
2.277	17	6 0 -4
1.825	25	9 1 -2
1.702	21	3 1 -5
1.613	19	3 1 4
1.549	14	0 2 3
1.547	29	9 1 1



No. 12
Structure and theoretical powder X-ray diffraction pattern of La5PmY2Ho (a cell relaxed with GGA-PBE; a wavelength of 1.5418 Å).
Kinematic intensities with the Lorentz-polarization factor, no thermal factor.

Structural model:
```
data_La5PmY2Ho
_chemical_formula_sum 'La20 Pm4 Y8 Ho4'
_cell_length_a 9.592
_cell_length_b 9.592
_cell_length_c 14.087
_cell_angle_alpha 90.00
_cell_angle_beta 90.00
_cell_angle_gamma 90.00
_symmetry_space_group_name_H-M 'I 4/m c m'
_symmetry_Int_Tables_number 140
_symmetry_space_group_name_Hall '-I 4 2c'
loop_
_atom_site_label
_atom_site_fract_x
_atom_site_fract_y
_atom_site_fract_z
_atom_site_occupancy
La1 0.000 0.000 0.000 1
La2 0.202 0.298 0.138 1
Pm1 0.000 0.000 0.250 1
Y1 0.108 0.392 0.500 1
Ho1 0.000 0.500 0.250 1
```

Peak list (10 most intense, 10 to 90 degrees two-theta, in order of rising 2θ)
d/Å	I/Imax	(hkl)
3.391	66	2 2 0
3.167	44	2 1 3
3.033	14	3 1 0
2.839	100	2 0 4
2.614	15	3 2 1
2.295	18	4 1 1
2.085	14	4 1 3
1.832	21	4 2 4
1.563	11	2 2 8
1.522	13	4 1 7



No. 13
Structure and theoretical powder X-ray diffraction pattern of La2PmY6Ho2 (a cell relaxed with GGA-PBE; a wavelength of 1.5418 Å).
Kinematic intensities with the Lorentz-polarization factor, no thermal factor.

Structural model:
```
data_La2PmY6Ho2
_chemical_formula_sum 'La4 Pm2 Y12 Ho4'
_cell_length_a 5.747
_cell_length_b 12.186
_cell_length_c 10.488
_cell_angle_alpha 90.00
_cell_angle_beta 90.00
_cell_angle_gamma 90.00
_symmetry_space_group_name_H-M 'C m m m'
_symmetry_Int_Tables_number 65
_symmetry_space_group_name_Hall '-C 2 2'
loop_
_atom_site_label
_atom_site_fract_x
_atom_site_fract_y
_atom_site_fract_z
_atom_site_occupancy
La1 0.000 0.212 0.000 1
Pm1 0.000 0.500 0.000 1
Y1 0.000 0.000 0.208 1
Y2 0.000 0.350 0.307 1
Ho1 0.000 0.130 0.500 1
```

Peak list (10 most intense, 10 to 90 degrees two-theta, in order of rising 2θ)
d/Å	I/Imax	(hkl)
2.926	34	0 4 1
2.901	43	1 1 3
2.874	45	2 0 0
2.803	100	1 3 2
2.622	16	0 0 4
2.050	25	2 4 1
1.728	14	0 4 5
1.645	26	3 3 2
1.504	19	1 7 3
1.481	17	2 4 5